The following is a computed powder diffractogram of SrTl5In. It was derived from a cell relaxed with GGA-PBE, using Cu Kα (weighted mean of Kα1 and Kα2).

Principal peaks in the range 10° ≤ 2θ ≤ 90°, in order of falling intensity:
(1 1 2), 2θ = 32.22°, intensity 100
(2 0 0), 2θ = 35.50°, intensity 45
(3 1 2), 2θ = 61.69°, intensity 32
(1 1 1), 2θ = 26.88°, intensity 23
(2 2 0), 2θ = 51.08°, intensity 16
(2 0 4), 2θ = 55.26°, intensity 14
(2 0 3), 2θ = 47.41°, intensity 13
(1 1 5), 2θ = 58.30°, intensity 12

Structure:
a = 5.0571 Å, b = 5.0571 Å, c = 8.8254 Å
α = 90.00°, β = 90.00°, γ = 90.00°
Space group P4/mmm (No. 123)
Inequivalent atoms, fractional coordinates:
1 Sr 0.0000 0.0000 0.0000 [1 per cell]
2 Tl 0.0000 0.5000 0.2872 [4 per cell]
3 Tl 0.5000 0.5000 0.0000 [1 per cell]
4 In 0.5000 0.5000 0.5000 [1 per cell]